1.
The following is a computed powder X-ray diffraction pattern of La5PmSm4. It was derived from a cell relaxed with GGA-PBE, using Cu Ka.

```
La5PmSm4
1.0
6.9219 0.0000 0.0000
0.0000 9.2564 0.0000
0.0000 0.0000 11.6552
La Pm Sm
10 2 8
Direct
0.0042 0.0676 0.2187
0.0042 0.4324 0.2187
0.2500 0.2500 0.7123
0.4958 0.0676 0.2187
0.4958 0.4324 0.2187
0.5042 0.5676 0.7813
0.5042 0.9324 0.7813
0.7500 0.7500 0.2877
0.9958 0.5676 0.7813
0.9958 0.9324 0.7813
0.2500 0.7500 0.3205
0.7500 0.2500 0.6795
0.0041 0.7500 0.0422
0.2500 0.0491 0.4937
0.2500 0.4509 0.4937
0.4959 0.7500 0.0422
0.5041 0.2500 0.9578
0.7500 0.5491 0.5063
0.7500 0.9509 0.5063
0.9959 0.2500 0.9578
```

Peak list (8 most intense, 2θ = 5–70°, low angle first)
d_spacing, 2theta, Rel. int.
3.318, 26.87, 50
3.123, 28.58, 23
2.979, 30.00, 100
2.914, 30.68, 22
2.779, 32.21, 25
2.503, 35.88, 83
2.489, 36.09, 23
1.496, 62.02, 23



2.
The following is a computed powder X-ray diffraction pattern of Rb2TaF7. It was derived from a cell relaxed with GGA-PBE, using Cu Ka.

```
Rb2TaF7
1.0
6.0252 0.0000 0.0000
0.0000 6.0702 0.0000
0.0000 0.0000 10.5600
Rb Ta F
4 2 14
Direct
0.2500 0.2500 0.0032
0.2500 0.7500 0.6411
0.7500 0.2500 0.3589
0.7500 0.7500 0.9968
0.2500 0.7500 0.2443
0.7500 0.2500 0.7557
0.0112 0.5378 0.2041
0.0112 0.9622 0.2041
0.2500 0.5525 0.3935
0.2500 0.7500 0.0526
0.2500 0.9475 0.3935
0.4888 0.5378 0.2041
0.4888 0.9622 0.2041
0.5112 0.0378 0.7959
0.5112 0.4622 0.7959
0.7500 0.0525 0.6065
0.7500 0.2500 0.9474
0.7500 0.4475 0.6065
0.9888 0.0378 0.7959
0.9888 0.4622 0.7959
```

Peak list (8 most intense, 2θ = 5–70°, low angle first)
d_spacing, 2theta, Rel. int.
5.269, 16.83, 69
5.233, 16.94, 49
4.276, 20.77, 61
3.964, 22.43, 36
3.323, 26.83, 100
3.040, 29.38, 59
2.139, 42.25, 50
1.993, 45.50, 32



3.
The following is a computed powder X-ray diffraction pattern of KTl2RhF8. It was derived from a cell relaxed with GGA-PBE, using Cu Ka.

```
KTl2RhF8
1.0
4.8858 0.0000 0.0000
0.0000 7.5666 0.0000
-0.3315 0.0000 5.6306
K Tl Rh F
1 2 1 8
Direct
0.0000 0.0000 0.0000
0.5000 0.2604 0.5000
0.5000 0.7396 0.5000
0.0000 0.5000 0.0000
0.1045 0.3095 0.7784
0.1045 0.6905 0.7784
0.3487 0.5000 0.1933
0.4557 0.0000 0.2692
0.5443 0.0000 0.7308
0.6513 0.5000 0.8067
0.8955 0.3095 0.2216
0.8955 0.6905 0.2216
```

Peak list (8 most intense, 2θ = 5–70°, low angle first)
d_spacing, 2theta, Rel. int.
5.631, 15.74, 33
3.797, 23.43, 96
3.584, 24.84, 75
3.140, 28.42, 100
2.989, 29.89, 56
2.087, 43.35, 48
2.014, 45.02, 36
1.897, 47.95, 32